# 1
This entry pairs a crystal structure of Tb2Pr2Te2Se3 with its simulated XRD peak list. Radiation: copper Kα. Structure: the GGA-PBE geometry in Alexandria.

Atomic structure:
```
9
Lattice="-2.8280 2.8280 8.0779 2.8280 -2.8280 8.0779 2.8280 2.8280 -8.0779" Properties=species:S:1:pos:R:3 pbc="T T T"
Tb 2.8280 0.0000 0.0000
Tb 0.0000 2.8280 0.0000
Pr 0.0000 0.0000 3.1282
Pr 0.0000 0.0000 13.0276
Te 0.0000 0.0000 6.3848
Te 0.0000 0.0000 9.7710
Se 0.0000 0.0000 0.0000
Se 2.8280 0.0000 4.0390
Se 0.0000 2.8280 4.0390
```

Principal peaks in the range 2θ = 5–70°, by angle:
| 2θ/deg | intensity |
| --- | --- |
| 22.01 | 154 |
| 24.84 | 161 |
| 31.48 | 554 |
| 31.64 | 1000 |
| 31.90 | 603 |
| 38.88 | 141 |
| 45.35 | 367 |
| 45.54 | 447 |
| 56.25 | 212 |
| 66.23 | 145 |


# 2
This entry pairs a crystal structure of TbPr3Tl4Se8 with its simulated XRD peak list. Radiation: copper Kα. Structure: the GGA-PBE geometry in Alexandria.

Atomic structure:
```
16
Lattice="4.3209 2.4947 7.7543 -4.3209 2.4947 7.7543 0.0000 -4.9894 7.7543" Properties=species:S:1:pos:R:3 pbc="T T T"
Tb 0.0000 0.0000 0.0000
Pr -2.1605 -1.2473 7.7543
Pr -2.1605 1.2473 15.5086
Pr 0.0000 2.4947 7.7543
Tl -4.3209 0.0000 11.6314
Tl -2.1605 1.2473 3.8771
Tl 2.1605 1.2473 3.8771
Tl 0.0000 0.0000 11.6314
Se 0.0000 -2.5555 9.3791
Se -2.2131 1.2777 9.3791
Se -2.2131 -1.2777 13.8838
Se 0.0000 0.0000 6.0987
Se 0.0000 0.0000 17.1642
Se 2.2131 1.2777 9.3791
Se 2.2131 -1.2777 13.8838
Se 0.0000 2.5554 13.8838
```

Principal peaks in the range 2θ = 5–70°, by angle:
| 2θ/deg | intensity |
| --- | --- |
| 22.94 | 93 |
| 25.00 | 192 |
| 28.36 | 1000 |
| 39.24 | 379 |
| 41.81 | 363 |
| 48.22 | 83 |
| 51.29 | 193 |
| 58.68 | 117 |
| 64.59 | 148 |
| 68.24 | 164 |


# 3
This entry pairs a crystal structure of Tb2PrTl3Se6 with its simulated XRD peak list. Radiation: copper Kα. Structure: the GGA-PBE geometry in Alexandria.

Atomic structure:
```
12
Lattice="3.6871 -6.3840 0.0000 3.6871 6.3840 0.0000 -2.4580 0.0000 7.7632" Properties=species:S:1:pos:R:3 pbc="T T T"
Tb 3.6871 4.2545 0.0000
Tb 3.6871 -4.2545 0.0000
Pr 3.6871 0.0000 0.0000
Tl -1.2290 0.0000 3.8816
Tl 2.4581 2.1048 3.8816
Tl 2.4581 -2.1048 3.8816
Se -0.0337 2.1859 6.1483
Se 1.1626 0.0000 1.5996
Se -0.0337 -2.1859 6.1483
Se 4.9499 2.1859 1.6149
Se 3.7536 0.0000 6.1637
Se 4.9499 -2.1859 1.6149
```

Principal peaks in the range 2θ = 5–70°, by angle:
| 2θ/deg | intensity |
| --- | --- |
| 22.91 | 104 |
| 25.34 | 201 |
| 28.66 | 1000 |
| 39.44 | 378 |
| 42.47 | 358 |
| 48.80 | 89 |
| 52.04 | 190 |
| 59.34 | 114 |
| 65.04 | 143 |
| 69.36 | 206 |


# 4
This entry pairs a crystal structure of TbPrTm4Se8 with its simulated XRD peak list. Radiation: copper Kα. Structure: the GGA-PBE geometry in Alexandria.

Atomic structure:
```
14
Lattice="4.1957 2.4224 6.8934 -4.1957 2.4224 6.8934 0.0000 -4.8448 6.8934" Properties=species:S:1:pos:R:3 pbc="T T T"
Tb 0.0000 0.0000 0.0000
Pr 0.0000 0.0000 12.9286
Tm 0.0000 2.4419 17.2038
Tm 2.1147 -1.2209 17.2038
Tm 0.0000 0.0000 7.7212
Tm -2.1147 -1.2209 17.2038
Se -2.2840 -1.3187 11.9224
Se 0.0000 0.0000 4.9950
Se 0.0000 -2.5295 8.6771
Se -2.1906 1.2648 8.6771
Se 2.2840 -1.3187 11.9224
Se 0.0000 2.6373 11.9224
Se 0.0000 0.0000 15.7654
Se 2.1906 1.2648 8.6772
```

Principal peaks in the range 2θ = 5–70°, by angle:
| 2θ/deg | intensity |
| --- | --- |
| 21.13 | 362 |
| 24.82 | 1000 |
| 24.88 | 345 |
| 30.06 | 698 |
| 39.30 | 212 |
| 39.40 | 518 |
| 42.94 | 680 |
| 43.12 | 687 |
| 59.82 | 215 |
| 62.48 | 214 |


# 5
This entry pairs a crystal structure of TbPr4Tm3Se8 with its simulated XRD peak list. Radiation: copper Kα. Structure: the GGA-PBE geometry in Alexandria.

Atomic structure:
```
16
Lattice="4.0805 2.3559 7.0288 -4.0805 2.3559 7.0288 0.0000 -4.7118 7.0288" Properties=species:S:1:pos:R:3 pbc="T T T"
Tb 0.0000 0.0000 0.0000
Pr -4.0805 0.0000 10.5432
Pr -2.0403 1.1779 3.5144
Pr 2.0403 1.1779 3.5144
Pr 0.0000 0.0000 10.5432
Tm -2.0403 -1.1779 7.0288
Tm -2.0403 1.1779 14.0577
Tm 0.0000 2.3559 7.0288
Se 0.0000 -2.3291 8.6329
Se -2.0171 1.1645 8.6329
Se 0.0000 0.0000 5.4412
Se -2.0171 -1.1645 12.4536
Se 2.0171 1.1645 8.6329
Se 0.0000 0.0000 15.6453
Se 2.0170 -1.1645 12.4536
Se 0.0000 2.3291 12.4536
```

Principal peaks in the range 2θ = 5–70°, by angle:
| 2θ/deg | intensity |
| --- | --- |
| 25.34 | 57 |
| 26.60 | 142 |
| 30.45 | 1000 |
| 42.80 | 379 |
| 44.40 | 358 |
| 50.39 | 32 |
| 51.81 | 52 |
| 52.04 | 67 |
| 54.80 | 189 |
| 63.37 | 118 |


# 6
This entry pairs a crystal structure of Tb4PrY3Se8 with its simulated XRD peak list. Radiation: copper Kα. Structure: the GGA-PBE geometry in Alexandria.

Atomic structure:
```
16
Lattice="4.1174 2.3772 6.7174 -4.1174 2.3772 6.7174 0.0000 -4.7544 6.7174" Properties=species:S:1:pos:R:3 pbc="T T T"
Tb 0.0000 0.0000 0.0000
Tb -2.0587 -1.1886 6.7174
Tb -2.0587 1.1886 13.4348
Tb 0.0000 2.3772 6.7174
Pr 0.0000 0.0000 10.0761
Y -4.1174 0.0000 10.0761
Y -2.0587 1.1886 3.3587
Y 2.0587 1.1886 3.3587
Se -2.1031 -1.2142 11.7865
Se 0.0000 -2.4285 8.3658
Se -2.1031 1.2142 8.3658
Se 0.0000 0.0000 5.0326
Se 0.0000 0.0000 15.1196
Se 2.1031 -1.2142 11.7864
Se 0.0000 2.4285 11.7864
Se 2.1031 1.2142 8.3658
```

Principal peaks in the range 2θ = 5–70°, by angle:
| 2θ/deg | intensity |
| --- | --- |
| 13.18 | 44 |
| 25.37 | 30 |
| 26.52 | 112 |
| 30.72 | 1000 |
| 33.55 | 16 |
| 40.26 | 14 |
| 44.00 | 737 |
| 52.11 | 55 |
| 54.62 | 258 |
| 63.98 | 119 |


# 7
This entry pairs a crystal structure of Pr4Te3Se with its simulated XRD peak list. Radiation: copper Kα. Structure: the GGA-PBE geometry in Alexandria.

Atomic structure:
```
8
Lattice="4.5112 -6.3339 0.0000 4.5112 6.3339 0.0000 0.0000 0.0000 4.4309" Properties=species:S:1:pos:R:3 pbc="T T T"
Pr 2.0382 0.0000 2.2154
Pr 4.5112 3.3511 0.0000
Pr 4.5112 -3.3511 0.0000
Pr 6.9842 0.0000 2.2154
Te 2.2556 3.1670 2.2154
Te 2.2556 -3.1670 2.2154
Te 4.5112 0.0000 0.0000
Se 0.0000 0.0000 0.0000
```

Principal peaks in the range 2θ = 5–70°, by angle:
| 2θ/deg | intensity |
| --- | --- |
| 28.21 | 1000 |
| 39.97 | 121 |
| 40.31 | 492 |
| 40.73 | 127 |
| 49.62 | 125 |
| 50.26 | 133 |
| 58.39 | 79 |
| 65.56 | 49 |
| 66.03 | 206 |
| 66.63 | 57 |


# 8
This entry pairs a crystal structure of Pr7TeSe5 with its simulated XRD peak list. Radiation: copper Kα. Structure: the GGA-PBE geometry in Alexandria.

Atomic structure:
```
26
Lattice="2.1075 -7.0516 0.0000 2.1075 7.0516 0.0000 0.0000 0.0000 25.3337" Properties=species:S:1:pos:R:3 pbc="T T T"
Pr 2.1075 6.7848 19.0003
Pr 2.1075 5.0987 0.9395
Pr 2.1075 5.0987 11.7273
Pr 2.1075 2.6696 17.1625
Pr 2.1075 2.6696 20.8381
Pr 2.1075 1.2929 2.9330
Pr 2.1075 1.2929 9.7338
Pr 2.1075 -1.2929 15.5999
Pr 2.1075 -1.2929 22.4007
Pr 2.1075 -2.6696 4.4956
Pr 2.1075 -2.6696 8.1712
Pr 2.1075 -5.0987 13.6064
Pr 2.1075 -5.0987 24.3942
Pr 2.1075 -6.7848 6.3334
Te 2.1075 2.6475 6.3334
Te 2.1075 -2.6475 19.0003
Se 2.1075 6.3232 3.6035
Se 2.1075 6.3232 9.0634
Se 2.1075 3.9142 14.4742
Se 2.1075 3.9142 23.5263
Se 2.1075 0.0000 0.0000
Se 2.1075 0.0000 12.6668
Se 2.1075 -3.9142 1.8074
Se 2.1075 -3.9142 10.8595
Se 2.1075 -6.3232 16.2703
Se 2.1075 -6.3232 21.7302
```

Principal peaks in the range 2θ = 5–70°, by angle:
| 2θ/deg | intensity |
| --- | --- |
| 27.71 | 682 |
| 28.66 | 275 |
| 29.32 | 1000 |
| 30.39 | 538 |
| 30.95 | 332 |
| 39.00 | 342 |
| 42.11 | 217 |
| 42.45 | 522 |
| 42.91 | 346 |
| 51.85 | 242 |


# 9
This entry pairs a crystal structure of PrTeSe with its simulated XRD peak list. Radiation: copper Kα. Structure: the GGA-PBE geometry in Alexandria.

Atomic structure:
```
6
Lattice="-2.1848 2.1848 8.9827 2.1848 -2.1848 8.9827 2.1848 2.1848 -8.9827" Properties=species:S:1:pos:R:3 pbc="T T T"
Pr 0.0000 0.0000 2.6928
Pr 0.0000 0.0000 15.2726
Te 2.1848 0.0000 0.0000
Te 0.0000 2.1848 0.0000
Se 0.0000 0.0000 5.6850
Se 0.0000 0.0000 12.2804
```

Principal peaks in the range 2θ = 5–70°, by angle:
| 2θ/deg | intensity |
| --- | --- |
| 29.84 | 500 |
| 30.60 | 1000 |
| 35.26 | 851 |
| 40.77 | 217 |
| 41.32 | 535 |
| 51.80 | 423 |
| 59.49 | 297 |
| 59.87 | 178 |
| 68.32 | 182 |
| 68.73 | 191 |


# 10
This entry pairs a crystal structure of Pr7Te4Se4 with its simulated XRD peak list. Radiation: copper Kα. Structure: the GGA-PBE geometry in Alexandria.

Atomic structure:
```
30
Lattice="-7.7525 7.7525 3.7578 7.7525 -7.7525 3.7578 7.7525 7.7525 -3.7578" Properties=species:S:1:pos:R:3 pbc="T T T"
Pr 4.3843 0.0000 0.0000
Pr 11.1207 0.0000 0.0000
Pr 7.7525 1.8085 0.0000
Pr 0.0000 0.0000 1.8667
Pr 0.0000 4.3843 0.0000
Pr 4.5149 4.5149 0.0000
Pr 3.2376 -3.2376 3.7578
Pr 1.8085 7.7525 0.0000
Pr 5.9440 0.0000 3.7578
Pr -3.2376 3.2376 3.7578
Pr 3.2376 3.2376 3.7578
Pr 0.0000 11.1207 0.0000
Pr 0.0000 0.0000 5.6489
Pr 0.0000 5.9440 3.7578
Te 1.9926 1.9926 0.0000
Te 5.7599 -5.7599 3.7578
Te 7.7525 5.0264 0.0000
Te 5.0264 7.7525 0.0000
Te 2.7261 0.0000 3.7578
Te 0.0000 2.7261 3.7578
Te -5.7599 5.7599 3.7578
Te 5.7599 5.7599 3.7578
Se 5.4429 -2.3096 1.8789
Se 10.0621 -2.3096 1.8789
Se 5.4429 2.3096 1.8789
Se 10.0621 2.3096 1.8789
Se -2.3096 5.4429 1.8789
Se 2.3096 5.4429 1.8789
Se -2.3096 10.0621 1.8789
Se 2.3096 10.0621 1.8789
```

Principal peaks in the range 2θ = 5–70°, by angle:
| 2θ/deg | intensity |
| --- | --- |
| 23.68 | 231 |
| 29.96 | 375 |
| 31.20 | 1000 |
| 34.23 | 119 |
| 34.71 | 160 |
| 35.22 | 306 |
| 46.61 | 326 |
| 48.45 | 140 |
| 59.35 | 99 |
| 69.49 | 99 |


# 11
This entry pairs a crystal structure of Pr6Te3Se2 with its simulated XRD peak list. Radiation: copper Kα. Structure: the GGA-PBE geometry in Alexandria.

Atomic structure:
```
11
Lattice="2.1681 1.2517 21.6931 -2.1681 1.2517 21.6931 0.0000 -2.5035 21.6931" Properties=species:S:1:pos:R:3 pbc="T T T"
Pr 0.0000 0.0000 5.9922
Pr 0.0000 0.0000 12.3952
Pr 0.0000 0.0000 23.5981
Pr 0.0000 0.0000 41.4813
Pr 0.0000 0.0000 52.6842
Pr 0.0000 0.0000 59.0872
Te 0.0000 0.0000 0.0000
Te 0.0000 0.0000 17.7440
Te 0.0000 0.0000 47.3354
Se 0.0000 0.0000 29.3416
Se 0.0000 0.0000 35.7378
```

Principal peaks in the range 2θ = 5–70°, by angle:
| 2θ/deg | intensity |
| --- | --- |
| 28.15 | 1000 |
| 29.74 | 34 |
| 38.75 | 333 |
| 41.66 | 379 |
| 46.02 | 47 |
| 51.03 | 196 |
| 58.20 | 101 |
| 63.80 | 105 |
| 67.47 | 35 |
| 67.91 | 163 |


# 12
This entry pairs a crystal structure of Pr6TlTe3Se2 with its simulated XRD peak list. Radiation: copper Kα. Structure: the GGA-PBE geometry in Alexandria.

Atomic structure:
```
12
Lattice="3.8351 -6.6145 0.0000 3.8351 6.6145 0.0000 -2.5377 0.0000 7.3997" Properties=species:S:1:pos:R:3 pbc="T T T"
Pr -0.0160 2.2622 5.6706
Pr 1.2127 0.0000 1.6912
Pr -0.0160 -2.2622 5.6706
Pr 5.1486 2.2622 1.7291
Pr 3.9199 0.0000 5.7086
Pr 5.1486 -2.2622 1.7291
Tl 3.8351 0.0000 0.0000
Te -1.2688 0.0000 3.6999
Te 2.5663 2.1540 3.6999
Te 2.5663 -2.1540 3.6999
Se 3.8351 4.3995 0.0000
Se 3.8351 -4.3995 0.0000
```

Principal peaks in the range 2θ = 5–70°, by angle:
| 2θ/deg | intensity |
| --- | --- |
| 28.33 | 1000 |
| 40.06 | 126 |
| 40.18 | 251 |
| 40.80 | 251 |
| 40.93 | 124 |
| 49.26 | 66 |
| 50.30 | 68 |
| 50.52 | 133 |
| 58.60 | 122 |
| 66.78 | 113 |